Calculated powder diffraction line list
Compound: ZrPAu2
Radiation: a wavelength of 1.5418 Å
Structure: a DFT-relaxed cell (GGA-PBE, Alexandria)
No peak broadening, texture or thermal motion is included.

Structure:
```
ZrPAu2
1.0
5.360 -1.904 0.000
5.360 1.904 0.000
-0.122 0.000 3.733
Zr P Au
1 1 2
direct
0.000 0.000 0.000
0.500 0.500 0.500
0.279 0.279 0.251
0.721 0.721 0.749
```

Largest 10 diffraction maxima, by angle, 10° ≤ 2θ ≤ 80°:
- 16.55 deg, d 5.357, intensity 49
- 33.45 deg, d 2.679, intensity 29
- 34.47 deg, d 2.602, intensity 100
- 34.88 deg, d 2.573, intensity 20
- 42.81 deg, d 2.113, intensity 35
- 47.78 deg, d 1.904, intensity 16
- 48.78 deg, d 1.867, intensity 11
- 51.31 deg, d 1.781, intensity 12
- 52.44 deg, d 1.745, intensity 11
- 54.30 deg, d 1.690, intensity 11

Calculated powder diffraction line list
Compound: Er3Pb5
Radiation: a wavelength of 1.5418 Å
Structure: a DFT-relaxed cell (GGA-PBE, Alexandria)
No peak broadening, texture or thermal motion is included.

Structure:
```
Er3Pb5
1.0
4.611 -5.192 0.000
4.611 5.192 0.000
0.000 0.000 4.729
Er Pb
3 5
direct
0.000 0.000 0.000
0.279 0.721 0.500
0.721 0.279 0.500
0.000 0.500 0.000
0.227 0.227 0.500
0.500 0.000 0.000
0.500 0.500 0.000
0.773 0.773 0.500
```

Largest 10 diffraction maxima, by angle, 10° ≤ 2θ ≤ 80°:
- 32.13 deg, d 2.786, intensity 100
- 34.55 deg, d 2.596, intensity 19
- 38.06 deg, d 2.364, intensity 17
- 39.07 deg, d 2.306, intensity 14
- 52.34 deg, d 1.748, intensity 12
- 53.14 deg, d 1.724, intensity 12
- 60.39 deg, d 1.533, intensity 14
- 65.06 deg, d 1.434, intensity 14
- 66.44 deg, d 1.407, intensity 11
- 67.22 deg, d 1.393, intensity 12

Calculated powder diffraction line list
Compound: CaAl2ZnCu2
Radiation: a wavelength of 1.5418 Å
Structure: a DFT-relaxed cell (GGA-PBE, Alexandria)
No peak broadening, texture or thermal motion is included.

Structure:
```
CaAl2ZnCu2
1.0
4.493 0.000 0.000
0.000 4.493 0.000
0.000 0.000 5.634
Ca Al Zn Cu
1 2 1 2
direct
0.000 0.000 0.000
0.500 0.500 0.245
0.500 0.500 0.755
0.000 0.000 0.500
0.000 0.500 0.500
0.500 0.000 0.500
```

Largest 10 diffraction maxima, by angle, 10° ≤ 2θ ≤ 80°:
- 15.73 deg, d 5.634, intensity 100
- 19.76 deg, d 4.493, intensity 15
- 31.76 deg, d 2.817, intensity 27
- 32.35 deg, d 2.768, intensity 32
- 37.69 deg, d 2.387, intensity 47
- 40.14 deg, d 2.247, intensity 66
- 43.36 deg, d 2.087, intensity 31
- 52.07 deg, d 1.756, intensity 25
- 56.23 deg, d 1.636, intensity 28
- 58.06 deg, d 1.589, intensity 21

Calculated powder diffraction line list
Compound: LaGdDyEr
Radiation: a wavelength of 1.5418 Å
Structure: a DFT-relaxed cell (GGA-PBE, Alexandria)
No peak broadening, texture or thermal motion is included.

Structure:
```
LaGdDyEr
1.0
0.000 4.054 4.054
4.054 0.000 4.054
4.054 4.054 0.000
La Gd Dy Er
1 1 1 1
direct
0.000 0.000 0.000
0.500 0.500 0.500
0.250 0.250 0.250
0.750 0.750 0.750
```

Largest 5 diffraction maxima, by angle, 10° ≤ 2θ ≤ 80°:
- 31.20 deg, d 2.867, intensity 100
- 44.71 deg, d 2.027, intensity 19
- 55.53 deg, d 1.655, intensity 39
- 65.08 deg, d 1.433, intensity 12
- 73.94 deg, d 1.282, intensity 17

Calculated powder diffraction line list
Compound: Tb2Pm3Ho6
Radiation: a wavelength of 1.5418 Å
Structure: a DFT-relaxed cell (GGA-PBE, Alexandria)
No peak broadening, texture or thermal motion is included.

Structure:
```
Tb2Pm3Ho6
1.0
3.073 -5.336 0.000
3.073 5.336 0.000
-2.094 0.000 11.401
Tb Pm Ho
2 3 6
direct
0.166 0.834 0.000
0.834 0.166 0.000
0.000 0.000 0.500
0.336 0.664 0.500
0.664 0.336 0.500
0.085 0.418 0.753
0.249 0.249 0.247
0.418 0.085 0.753
0.582 0.915 0.247
0.751 0.751 0.753
0.915 0.582 0.247
```

Largest 10 diffraction maxima, by angle, 10° ≤ 2θ ≤ 80°:
- 30.89 deg, d 2.895, intensity 100
- 31.39 deg, d 2.850, intensity 32
- 35.91 deg, d 2.501, intensity 45
- 36.07 deg, d 2.490, intensity 22
- 51.48 deg, d 1.775, intensity 16
- 52.14 deg, d 1.754, intensity 15
- 61.15 deg, d 1.516, intensity 10
- 61.44 deg, d 1.509, intensity 19
- 61.65 deg, d 1.504, intensity 9
- 64.36 deg, d 1.447, intensity 12

Calculated powder diffraction line list
Compound: RbSnGe
Radiation: a wavelength of 1.5418 Å
Structure: a DFT-relaxed cell (GGA-PBE, Alexandria)
No peak broadening, texture or thermal motion is included.

Structure:
```
RbSnGe
1.0
4.467 0.000 0.000
-2.233 3.868 0.000
0.000 0.000 6.151
Rb Sn Ge
1 1 1
direct
0.000 0.000 0.000
0.333 0.667 0.448
0.667 0.333 0.594
```

Largest 10 diffraction maxima, by angle, 10° ≤ 2θ ≤ 80°:
- 14.40 deg, d 6.151, intensity 16
- 27.23 deg, d 3.275, intensity 100
- 29.04 deg, d 3.075, intensity 17
- 37.36 deg, d 2.407, intensity 22
- 40.38 deg, d 2.233, intensity 37
- 49.39 deg, d 1.845, intensity 19
- 50.37 deg, d 1.812, intensity 20
- 50.50 deg, d 1.807, intensity 22
- 65.63 deg, d 1.422, intensity 17
- 66.45 deg, d 1.407, intensity 9

Calculated powder diffraction line list
Compound: NaPrTiO4
Radiation: a wavelength of 1.5418 Å
Structure: a DFT-relaxed cell (GGA-PBE, Alexandria)
No peak broadening, texture or thermal motion is included.

Structure:
```
NaPrTiO4
1.0
3.765 0.000 0.000
0.000 3.765 0.000
0.000 0.000 13.190
Na Pr Ti O
2 2 2 8
direct
0.250 0.250 0.082
0.750 0.750 0.918
0.250 0.250 0.391
0.750 0.750 0.609
0.250 0.250 0.773
0.750 0.750 0.227
0.250 0.250 0.570
0.250 0.250 0.907
0.250 0.750 0.264
0.250 0.750 0.736
0.750 0.250 0.264
0.750 0.250 0.736
0.750 0.750 0.093
0.750 0.750 0.430
```

Largest 10 diffraction maxima, by angle, 10° ≤ 2θ ≤ 80°:
- 27.28 deg, d 3.269, intensity 99
- 31.28 deg, d 2.860, intensity 100
- 33.67 deg, d 2.662, intensity 73
- 34.37 deg, d 2.609, intensity 19
- 41.06 deg, d 2.198, intensity 17
- 43.70 deg, d 2.071, intensity 33
- 48.35 deg, d 1.882, intensity 43
- 48.59 deg, d 1.874, intensity 27
- 56.41 deg, d 1.631, intensity 26
- 58.73 deg, d 1.572, intensity 34

Calculated powder diffraction line list
Compound: Li3Ce5Ge4
Radiation: a wavelength of 1.5418 Å
Structure: a DFT-relaxed cell (GGA-PBE, Alexandria)
No peak broadening, texture or thermal motion is included.

Structure:
```
Li3Ce5Ge4
1.0
6.296 0.000 0.000
0.000 2.286 10.022
0.000 -2.286 10.022
Li Ce Ge
3 5 4
direct
0.000 0.000 0.000
0.000 0.425 0.425
0.500 0.107 0.107
0.000 0.621 0.621
0.000 0.797 0.797
0.500 0.494 0.494
0.500 0.736 0.736
0.500 0.912 0.912
0.202 0.199 0.199
0.293 0.335 0.335
0.707 0.335 0.335
0.798 0.199 0.199
```

Largest 10 diffraction maxima, by angle, 10° ≤ 2θ ≤ 80°:
- 16.63 deg, d 5.331, intensity 45
- 22.68 deg, d 3.921, intensity 29
- 28.35 deg, d 3.148, intensity 16
- 32.95 deg, d 2.719, intensity 100
- 34.89 deg, d 2.571, intensity 76
- 37.05 deg, d 2.427, intensity 41
- 39.40 deg, d 2.287, intensity 44
- 46.94 deg, d 1.936, intensity 15
- 62.93 deg, d 1.477, intensity 14
- 71.59 deg, d 1.318, intensity 19

Calculated powder diffraction line list
Compound: Ta13Sn3
Radiation: a wavelength of 1.5418 Å
Structure: a DFT-relaxed cell (GGA-PBE, Alexandria)
No peak broadening, texture or thermal motion is included.

Structure:
```
Ta13Sn3
1.0
6.910 0.000 0.000
0.000 4.633 4.731
0.000 -4.633 4.731
Ta Sn
13 3
direct
0.000 0.000 0.000
0.000 0.507 0.995
0.000 0.513 0.513
0.000 0.995 0.507
0.244 0.750 0.750
0.247 0.256 0.753
0.247 0.753 0.256
0.500 0.503 0.994
0.500 0.509 0.509
0.500 0.994 0.503
0.753 0.256 0.753
0.753 0.753 0.256
0.756 0.750 0.750
0.245 0.264 0.264
0.500 0.987 0.987
0.755 0.264 0.264
```

Largest 10 diffraction maxima, by angle, 10° ≤ 2θ ≤ 80°:
- 13.37 deg, d 6.620, intensity 3
- 37.63 deg, d 2.390, intensity 100
- 38.04 deg, d 2.365, intensity 24
- 38.87 deg, d 2.317, intensity 23
- 53.01 deg, d 1.728, intensity 9
- 55.52 deg, d 1.655, intensity 16
- 67.09 deg, d 1.395, intensity 9
- 67.65 deg, d 1.385, intensity 9
- 68.47 deg, d 1.370, intensity 17
- 69.57 deg, d 1.351, intensity 17

Calculated powder diffraction line list
Compound: Ca4Zr3TaO12
Radiation: a wavelength of 1.5418 Å
Structure: a DFT-relaxed cell (GGA-PBE, Alexandria)
No peak broadening, texture or thermal motion is included.

Structure:
```
Ca4Zr3TaO12
1.0
5.619 0.000 0.000
-0.010 5.802 0.000
-0.001 -0.058 8.062
Ca Zr Ta O
4 3 1 12
direct
0.012 0.052 0.251
0.488 0.552 0.253
0.512 0.448 0.747
0.988 0.948 0.749
0.000 0.500 0.000
0.500 0.000 0.000
0.500 0.000 0.500
0.000 0.500 0.500
0.099 0.535 0.742
0.191 0.805 0.055
0.196 0.785 0.447
0.289 0.300 0.448
0.308 0.306 0.057
0.394 0.040 0.749
0.606 0.960 0.251
0.692 0.694 0.943
0.711 0.700 0.552
0.804 0.215 0.553
0.809 0.195 0.945
0.901 0.465 0.258
```

Largest 10 diffraction maxima, by angle, 10° ≤ 2θ ≤ 80°:
- 22.03 deg, d 4.035, intensity 100
- 30.82 deg, d 2.901, intensity 38
- 31.28 deg, d 2.859, intensity 78
- 31.44 deg, d 2.845, intensity 74
- 31.85 deg, d 2.809, intensity 34
- 44.91 deg, d 2.018, intensity 42
- 44.98 deg, d 2.015, intensity 23
- 55.31 deg, d 1.661, intensity 23
- 56.17 deg, d 1.638, intensity 17
- 56.42 deg, d 1.631, intensity 29

Calculated powder diffraction line list
Compound: LaPm5Tm2
Radiation: a wavelength of 1.5418 Å
Structure: a DFT-relaxed cell (GGA-PBE, Alexandria)
No peak broadening, texture or thermal motion is included.

Structure:
```
LaPm5Tm2
1.0
7.247 0.000 0.000
0.000 14.501 0.000
0.000 0.000 5.106
La Pm Tm
2 10 4
direct
0.000 0.000 0.000
0.500 0.500 0.000
0.000 0.500 0.000
0.002 0.251 0.000
0.248 0.626 0.500
0.252 0.126 0.500
0.498 0.751 0.000
0.500 0.000 0.000
0.502 0.249 0.000
0.748 0.874 0.500
0.752 0.374 0.500
0.998 0.749 0.000
0.249 0.874 0.500
0.251 0.374 0.500
0.749 0.626 0.500
0.751 0.126 0.500
```

Largest 10 diffraction maxima, by angle, 10° ≤ 2θ ≤ 80°:
- 30.24 deg, d 2.956, intensity 100
- 35.01 deg, d 2.563, intensity 34
- 35.15 deg, d 2.553, intensity 17
- 50.35 deg, d 1.812, intensity 12
- 50.45 deg, d 1.809, intensity 24
- 59.87 deg, d 1.545, intensity 29
- 60.05 deg, d 1.541, intensity 14
- 62.89 deg, d 1.478, intensity 12
- 73.97 deg, d 1.281, intensity 4
- 74.30 deg, d 1.277, intensity 2

Calculated powder diffraction line list
Compound: Sm12Co6Sb
Radiation: a wavelength of 1.5418 Å
Structure: a DFT-relaxed cell (GGA-PBE, Alexandria)
No peak broadening, texture or thermal motion is included.

Structure:
```
Sm12Co6Sb
1.0
-4.947 4.947 4.947
4.947 -4.947 4.947
4.947 4.947 -4.947
Sm Co Sb
12 6 1
direct
0.111 0.306 0.805
0.195 0.501 0.306
0.195 0.889 0.694
0.306 0.195 0.501
0.306 0.805 0.111
0.499 0.694 0.805
0.501 0.306 0.195
0.694 0.195 0.889
0.694 0.805 0.499
0.805 0.111 0.306
0.805 0.499 0.694
0.889 0.694 0.195
0.112 0.500 0.612
0.388 0.888 0.500
0.500 0.388 0.888
0.500 0.612 0.112
0.612 0.112 0.500
0.888 0.500 0.388
0.000 0.000 0.000
```

Largest 10 diffraction maxima, by angle, 10° ≤ 2θ ≤ 80°:
- 28.53 deg, d 3.129, intensity 47
- 31.32 deg, d 2.856, intensity 54
- 33.90 deg, d 2.644, intensity 100
- 36.32 deg, d 2.474, intensity 20
- 46.82 deg, d 1.940, intensity 26
- 54.04 deg, d 1.697, intensity 37
- 55.74 deg, d 1.649, intensity 13
- 57.41 deg, d 1.605, intensity 38
- 66.87 deg, d 1.399, intensity 20
- 69.86 deg, d 1.346, intensity 10

Calculated powder diffraction line list
Compound: TiCu3O4
Radiation: a wavelength of 1.5418 Å
Structure: a DFT-relaxed cell (GGA-PBE, Alexandria)
No peak broadening, texture or thermal motion is included.

Structure:
```
TiCu3O4
1.0
5.538 0.000 0.000
0.000 2.983 0.000
-1.951 0.000 5.720
Ti Cu O
1 3 4
direct
0.000 0.000 0.000
0.000 0.500 0.500
0.500 0.000 0.500
0.500 0.500 0.000
0.048 0.500 0.809
0.385 0.000 0.171
0.615 0.000 0.829
0.952 0.500 0.191
```

Largest 10 diffraction maxima, by angle, 10° ≤ 2θ ≤ 80°:
- 31.27 deg, d 2.860, intensity 47
- 34.21 deg, d 2.621, intensity 68
- 35.66 deg, d 2.517, intensity 100
- 38.37 deg, d 2.346, intensity 22
- 40.43 deg, d 2.231, intensity 44
- 54.60 deg, d 1.681, intensity 15
- 55.04 deg, d 1.668, intensity 34
- 58.83 deg, d 1.570, intensity 28
- 62.24 deg, d 1.492, intensity 12
- 65.21 deg, d 1.431, intensity 27